Structure and computed powder XRD pattern of RbH3WO7 (a DFT-relaxed cell (PBE+U, the Materials Project); Cu Kα X-rays).

Principal peaks in the range 2θ = 5–70°, by intensity:
hkl 0 1 1, 15.58°, intensity 100
hkl 1 0 1, 16.80°, intensity 65
hkl 1 0 -3, 24.70°, intensity 60
hkl 0 2 -2, 23.40°, intensity 51
hkl -1 2 1, 26.41°, intensity 38
hkl 2 -1 1, 28.62°, intensity 31

Structural model:
Unit cell a=6.5418 b=8.2851 c=12.6725 alpha=106.69 beta=92.93 gamma=104.70
Space group P-1 (No. 2)
One atom of each set of equivalent atoms:
Rb 0.0986 0.2625 0.0391 (multiplicity 2)
Rb 0.2160 0.2425 0.3607 (multiplicity 2)
H 0.1646 0.0229 0.5655 (multiplicity 2)
H 0.2189 0.2504 0.7719 (multiplicity 2)
H 0.3269 0.5086 0.6874 (multiplicity 2)
H 0.3621 0.6913 0.7753 (multiplicity 2)
H 0.3966 0.4252 0.8332 (multiplicity 2)
H 0.3975 0.0069 0.5822 (multiplicity 2)
W 0.1843 0.7071 0.3754 (multiplicity 2)
W 0.4395 0.8750 0.1576 (multiplicity 2)
O 0.0424 0.1729 0.6544 (multiplicity 2)
O 0.1129 0.5131 0.2619 (multiplicity 2)
O 0.1135 0.2995 0.5903 (multiplicity 2)
O 0.2165 0.6024 0.4957 (multiplicity 2)
O 0.2378 0.6363 0.0883 (multiplicity 2)
O 0.2653 0.0058 0.1509 (multiplicity 2)
O 0.2661 0.9637 0.5273 (multiplicity 2)
O 0.2855 0.9408 0.7689 (multiplicity 2)
O 0.3052 0.9970 0.8936 (multiplicity 2)
O 0.3346 0.3049 0.8367 (multiplicity 2)
O 0.3562 0.7074 0.0055 (multiplicity 2)
O 0.3894 0.8575 0.3097 (multiplicity 2)
O 0.4261 0.6742 0.4594 (multiplicity 2)
O 0.4267 0.5945 0.7516 (multiplicity 2)